In2NiOsO8: simulated PXRD pattern (CuKα), based on DFT lattice parameters and positions (PBE+U).

Principal peaks in the range 5° ≤ 2θ ≤ 70°, in order of falling intensity:
(hkl)  Position (°2θ)  d_spacing  intensity
1 2 0  33.40  2.682  1000
1 0 -1  25.17  3.538  698
1 0 1  26.92  3.312  549
2 2 -1  49.84  1.830  443
2 2 1  51.82  1.764  365
0 0 2  37.18  2.418  286
1 1 0  22.99  3.869  254
0 1 0  13.73  6.447  163
0 2 3  64.59  1.443  117
3 2 0  64.70  1.441  116
2 0 -2  51.67  1.769  103
1 4 -1  63.41  1.467  103

Atomic structure:
Lattice parameters (Å, degrees): 4.8417 6.4475 4.8514 90.00 93.78 90.00
Space group P2/m (No. 10)
Unique sites:
In 0.0000 0.2416 0.0000 (multiplicity 2)
Ni 0.5000 0.0000 0.5000 (multiplicity 1)
Os 0.5000 0.5000 0.5000 (multiplicity 1)
O 0.2106 0.5000 0.2091 (multiplicity 2)
O 0.2116 0.0000 0.2102 (multiplicity 2)
O 0.3203 0.2885 0.6780 (multiplicity 4)